Entry 1:
This entry pairs a crystal structure of Pr3DyZn3 with its theoretical powder diffraction line list. Radiation: Cu Kα (weighted mean of Kα1 and Kα2). Structure: a crystal structure in Alexandria, relaxed with PBE.
No peak broadening, texture or thermal motion is included.

Structural model:
```
data_Pr3DyZn3
_chemical_formula_sum 'Pr12 Dy4 Zn12'
_symmetry_space_group_name_H-M 'C m m m'
_symmetry_Int_Tables_number 65
_symmetry_space_group_name_Hall '-C 2 2'
_cell_length_a 10.163
_cell_length_b 10.514
_cell_length_c 7.228
_cell_angle_alpha 90.00
_cell_angle_beta 90.00
_cell_angle_gamma 90.00
loop_
_atom_site_label
_atom_site_type_symbol
_atom_site_fract_x
_atom_site_fract_y
_atom_site_fract_z
Pr1 Pr 0.000 0.243 0.000
Pr2 Pr 0.241 0.500 0.500
Pr3 Pr 0.242 0.500 0.000
Dy1 Dy 0.000 0.241 0.500
Zn1 Zn 0.000 0.000 0.258
Zn2 Zn 0.250 0.250 0.259
```

Largest 10 diffraction maxima, by intensity, 2θ from 10° to 90°:
h k l  2θ (°)  I (rel.)
2 2 2  34.92  1000
2 2 0  24.36  268
0 4 0  34.11  265
4 0 4  63.14  255
4 0 0  35.33  241
2 6 2  61.58  183
4 4 0  49.92  176
0 0 2  24.63  134
2 2 6  84.73  111
4 4 4  73.75  109

Entry 2:
This entry pairs a crystal structure of Ba3NaTl with its theoretical powder diffraction line list. Radiation: Cu Kα (weighted mean of Kα1 and Kα2). Structure: a crystal structure in Alexandria, relaxed with PBE.
No peak broadening, texture or thermal motion is included.

Structural model:
```
data_Ba3NaTl
_chemical_formula_sum 'Ba24 Na8 Tl8'
_symmetry_space_group_name_H-M 'C m c e'
_symmetry_Int_Tables_number 64
_symmetry_space_group_name_Hall '-C 2ac 2'
_cell_length_a 15.672
_cell_length_b 13.789
_cell_length_c 9.792
_cell_angle_alpha 90.00
_cell_angle_beta 90.00
_cell_angle_gamma 90.00
loop_
_atom_site_label
_atom_site_type_symbol
_atom_site_fract_x
_atom_site_fract_y
_atom_site_fract_z
Ba1 Ba 0.000 0.067 0.190
Ba2 Ba 0.140 0.171 0.592
Na1 Na 0.250 0.074 0.250
Tl1 Tl 0.000 0.198 0.872
```

Largest 10 diffraction maxima, by intensity, 2θ from 10° to 90°:
h k l  2θ (°)  I (rel.)
0 4 1  27.42  1000
3 1 2  25.76  779
2 0 0  11.29  726
3 1 1  20.32  397
0 2 0  12.84  324
0 2 3  30.30  293
2 4 1  29.75  213
8 4 1  54.72  205
1 3 2  27.21  201
3 3 2  31.72  180

Entry 3:
This entry pairs a crystal structure of Pr4Nd4Mg with its theoretical powder diffraction line list. Radiation: Cu Kα (weighted mean of Kα1 and Kα2). Structure: a crystal structure in Alexandria, relaxed with PBE.
No peak broadening, texture or thermal motion is included.

Structural model:
```
data_Pr4Nd4Mg
_chemical_formula_sum 'Pr16 Nd16 Mg4'
_symmetry_space_group_name_H-M 'C m c m'
_symmetry_Int_Tables_number 63
_symmetry_space_group_name_Hall '-C 2c 2'
_cell_length_a 16.427
_cell_length_b 6.593
_cell_length_c 11.961
_cell_angle_alpha 90.00
_cell_angle_beta 90.00
_cell_angle_gamma 90.00
loop_
_atom_site_label
_atom_site_type_symbol
_atom_site_fract_x
_atom_site_fract_y
_atom_site_fract_z
Pr1 Pr 0.099 0.060 0.250
Pr2 Pr 0.218 0.000 0.000
Nd1 Nd 0.000 0.254 0.515
Nd2 Nd 0.189 0.405 0.750
Mg1 Mg 0.000 0.489 0.750
```

Largest 10 diffraction maxima, by intensity, 2θ from 10° to 90°:
h k l  2θ (°)  I (rel.)
5 1 2  33.97  1000
0 0 4  29.88  838
4 0 2  26.33  776
2 2 2  32.88  620
2 2 0  29.19  379
0 2 1  28.08  324
3 1 2  25.87  297
2 2 4  42.26  274
5 1 6  55.71  260
0 2 2  30.94  220

Entry 4:
This entry pairs a crystal structure of TmFe4Sb12 with its theoretical powder diffraction line list. Radiation: Cu Kα (weighted mean of Kα1 and Kα2). Structure: a crystal structure in Alexandria, relaxed with PBE.
No peak broadening, texture or thermal motion is included.

Structural model:
```
data_TmFe4Sb12
_chemical_formula_sum 'Tm2 Fe8 Sb24'
_symmetry_space_group_name_H-M 'I m -3'
_symmetry_Int_Tables_number 204
_symmetry_space_group_name_Hall '-I 2 2 3'
_cell_length_a 9.162
_cell_length_b 9.162
_cell_length_c 9.162
_cell_angle_alpha 90.00
_cell_angle_beta 90.00
_cell_angle_gamma 90.00
loop_
_atom_site_label
_atom_site_type_symbol
_atom_site_fract_x
_atom_site_fract_y
_atom_site_fract_z
Tm1 Tm 0.000 0.000 0.000
Fe1 Fe 0.250 0.250 0.250
Sb1 Sb 0.000 0.332 0.162
```

Largest 10 diffraction maxima, by intensity, 2θ from 10° to 90°:
h k l  2θ (°)  I (rel.)
3 0 1  30.86  1000
3 1 2  36.70  542
4 2 2  48.69  230
4 3 1  50.82  224
6 1 3  69.60  184
5 3 0  58.77  178
6 0 0  60.65  120
4 2 0  44.21  101
5 2 3  62.49  94
6 5 3  89.50  93